For La2Zn, a structure optimized by DFT (GGA-PBE) gives the calculated PXRD pattern in this record (Cu Kα, 1.54184 Å).

Cell and atoms:
abc: 3.826 17.259 5.491
angles: 90.00 90.00 90.00
Atoms (fractional coordinates):
La 0.000 0.076 0.250
La 0.000 0.222 0.750
La 0.000 0.778 0.250
La 0.000 0.924 0.750
La 0.500 0.278 0.250
La 0.500 0.424 0.750
La 0.500 0.576 0.250
La 0.500 0.722 0.750
Zn 0.000 0.426 0.250
Zn 0.000 0.574 0.750
Zn 0.500 0.074 0.750
Zn 0.500 0.926 0.250

Peak list (12 most intense, 10° ≤ 2θ ≤ 90°, in order of rising 2θ)
26.3°, I = 18, (0 4 1); 31.1°, I = 19, (0 6 0); 32.5°, I = 100, (1 3 1); 32.6°, I = 28, (0 0 2); 43.7°, I = 8, (1 7 0); 45.7°, I = 13, (0 6 2); 47.5°, I = 10, (2 0 0); 55.6°, I = 8, (1 7 2); 58.1°, I = 19, (1 3 3); 58.8°, I = 10, (2 0 2); 68.0°, I = 8, (2 6 2); 78.8°, I = 8, (3 3 1)